Structure and theoretical X-ray powder pattern of Ho12Ni6Bi (a PBE-relaxed structure; Cu Kα (weighted mean of Kα1 and Kα2)).
Peak positions follow from Bragg's law for the DFT cell and can differ from measured ones.

Cell lengths 8.4086, 8.4086, 8.4086 Å; angles 109.47, 109.47, 109.47 degrees
Element x y z (fractional)
Ho 0.1183 0.3069 0.8114
Ho 0.1886 0.4955 0.3069
Ho 0.1886 0.8817 0.6931
Ho 0.3069 0.1886 0.4955
Ho 0.3069 0.8114 0.1183
Ho 0.4955 0.3069 0.1886
Ho 0.5045 0.6931 0.8114
Ho 0.6931 0.1886 0.8817
Ho 0.6931 0.8114 0.5045
Ho 0.8114 0.1183 0.3069
Ho 0.8114 0.5045 0.6931
Ho 0.8817 0.6931 0.1886
Ni 0.1235 0.5000 0.6235
Ni 0.3765 0.8765 0.5000
Ni 0.5000 0.3765 0.8765
Ni 0.5000 0.6235 0.1235
Ni 0.6235 0.1235 0.5000
Ni 0.8765 0.5000 0.3765
Bi 0.0000 0.0000 0.0000

Peak list (6 most intense, 2θ from 15° to 90°, sorted by position)
d_spacing  2theta  I/Imax
3.070  29.08  47
2.803  31.93  41
2.595  34.57  100
1.904  47.76  23
1.665  55.16  32
1.575  58.61  37

=====

Structure and theoretical X-ray powder pattern of Ho4Ni2Bi (a PBE-relaxed structure; Cu Kα (weighted mean of Kα1 and Kα2)).
Peak positions follow from Bragg's law for the DFT cell and can differ from measured ones.

Cell lengths 9.2195, 7.9173, 7.9066 Å; angles 71.27, 54.42, 54.31 degrees
Element x y z (fractional)
Ho 0.1489 0.2803 0.2809
Ho 0.2101 0.7191 0.7197
Ho 0.2803 0.1489 0.7899
Ho 0.2809 0.7899 0.1489
Ho 0.7191 0.2101 0.8511
Ho 0.7197 0.8511 0.2101
Ho 0.7899 0.2809 0.2803
Ho 0.8511 0.7197 0.7191
Ni 0.0000 0.0000 0.0000
Ni 0.0000 0.0000 0.5000
Ni 0.0000 0.5000 0.0000
Ni 0.5000 0.0000 0.0000
Bi 0.3750 0.3750 0.3750
Bi 0.6250 0.6250 0.6250

Peak list (6 most intense, 2θ from 15° to 90°, sorted by position)
d_spacing  2theta  I/Imax
4.610  19.25  56
3.214  27.76  57
2.907  30.76  69
2.843  31.47  82
2.459  36.54  100
1.847  49.34  37